Computed powder diffraction line list
Compound: Ti3Mn2Co3O16
Radiation: Cu Kα, 1.54184 Å
Structure: a structure optimized by DFT (GGA+U)
Peak positions follow from Bragg's law for the DFT cell and can differ from measured ones.

Structure:
Lattice parameters (Å, degrees): 5.771 5.771 8.910 91.36 91.36 60.67
Sites, in units of the cell vectors:
Ti: 0.000 0.000 0.000
Ti: 0.328 0.830 0.497
Ti: 0.830 0.328 0.497
Mn: 0.487 0.487 0.775
Mn: 0.822 0.822 0.269
Co: 0.326 0.326 0.503
Co: 0.496 0.990 0.998
Co: 0.990 0.496 0.998
O: 0.112 0.672 0.132
O: 0.161 0.161 0.608
O: 0.168 0.168 0.108
O: 0.199 0.621 0.633
O: 0.319 0.319 0.895
O: 0.325 0.817 0.894
O: 0.480 0.480 0.391
O: 0.496 0.981 0.391
O: 0.621 0.199 0.633
O: 0.631 0.631 0.637
O: 0.672 0.112 0.132
O: 0.678 0.678 0.120
O: 0.817 0.325 0.894
O: 0.817 0.817 0.893
O: 0.981 0.496 0.391
O: 0.982 0.982 0.394

The 6 most intense peaks (10 to 90 degrees two-theta), by angle:
19.94°, I = 933; 20.17°, I = 1000; 20.39°, I = 541; 40.99°, I = 388; 47.01°, I = 427; 64.62°, I = 376